For Cs3Pt2O4, the GGA-PBE geometry in Alexandria gives the calculated X-ray powder pattern in this record (Cu Kα, 1.54184 Å).

Largest 10 diffraction maxima, in order of rising 2θ, 5° ≤ 2θ ≤ 70°:
- 2θ = 13.57°, rel. 32.3, hkl 0 0 2
- 2θ = 24.56°, rel. 71.0, hkl 1 1 2
- 2θ = 25.04°, rel. 31.3, hkl 0 2 2
- 2θ = 26.98°, rel. 25.8, hkl 1 0 3
- 2θ = 27.33°, rel. 20.2, hkl 0 0 4
- 2θ = 28.25°, rel. 100.0, hkl 1 2 1
- 2θ = 35.34°, rel. 27.3, hkl 2 0 0
- 2θ = 37.97°, rel. 25.2, hkl 0 3 3
- 2θ = 44.49°, rel. 41.5, hkl 1 2 5
- 2θ = 59.16°, rel. 28.3, hkl 1 5 2

Atomic structure:
a b c (Å): 5.0801 8.4809 13.0529
angles (deg): 90.00 90.00 90.00
Space group Immm (No. 71)
Inequivalent atoms, fractional coordinates:
Cs: 0.0000 0.0000 0.0000 x2
Cs: 0.0000 0.5000 0.1982 x4
Pt: 0.0000 0.2135 0.5000 x4
O: 0.0000 0.2182 0.3601 x8

***

For Cu3Rh5, the GGA-PBE geometry in Alexandria gives the calculated X-ray powder pattern in this record (Cu Kα, 1.54184 Å).

Largest 10 diffraction maxima, in order of rising 2θ, 5° ≤ 2θ ≤ 70°:
- 2θ = 16.52°, rel. 1.2, hkl 1 1 0
- 2θ = 23.41°, rel. 2.8, hkl 0 2 0
- 2θ = 28.94°, rel. 0.7, hkl 1 1 1
- 2θ = 33.53°, rel. 2.0, hkl 2 0 1
- 2θ = 41.30°, rel. 100.0, hkl 2 2 1
- 2θ = 47.86°, rel. 16.1, hkl 0 4 0
- 2θ = 48.03°, rel. 15.9, hkl 4 0 0
- 2θ = 48.28°, rel. 15.8, hkl 0 0 2
- 2θ = 54.10°, rel. 0.6, hkl 4 2 0
- 2θ = 59.70°, rel. 0.8, hkl 2 4 1

Atomic structure:
a b c (Å): 7.5775 7.6023 3.7703
angles (deg): 90.00 90.00 90.00
Space group Cmmm (No. 65)
Inequivalent atoms, fractional coordinates:
Cu: 0.0000 0.0000 0.0000 x2
Cu: 0.2423 0.0000 0.5000 x4
Rh: 0.0000 0.2535 0.5000 x4
Rh: 0.0000 0.5000 0.0000 x2
Rh: 0.2500 0.2500 0.0000 x4

***

For Cs2SiH5F, the GGA-PBE geometry in Alexandria gives the calculated X-ray powder pattern in this record (Cu Kα, 1.54184 Å).

Largest 10 diffraction maxima, in order of rising 2θ, 5° ≤ 2θ ≤ 70°:
- 2θ = 20.39°, rel. 69.9, hkl 0 0 2
- 2θ = 29.00°, rel. 100.0, hkl 2 0 0
- 2θ = 35.71°, rel. 29.8, hkl 2 0 2
- 2θ = 41.53°, rel. 14.8, hkl 2 2 0
- 2θ = 46.54°, rel. 11.5, hkl 1 1 4
- 2θ = 46.68°, rel. 23.0, hkl 2 2 2
- 2θ = 51.32°, rel. 13.7, hkl 2 0 4
- 2θ = 51.43°, rel. 24.0, hkl 3 1 2
- 2θ = 64.15°, rel. 14.1, hkl 4 0 2
- 2θ = 68.17°, rel. 12.0, hkl 4 2 0

Atomic structure:
a b c (Å): 6.1509 6.1509 8.7336
angles (deg): 90.00 90.00 90.00
Space group I4mm (No. 107)
Inequivalent atoms, fractional coordinates:
Cs: 0.0000 0.5000 0.0000 x4
Si: 0.0000 0.0000 0.2619 x2
H: 0.0000 0.0000 0.4443 x2
H: 0.1839 0.1839 0.2588 x8
F: 0.0000 0.0000 0.0532 x2

***

For Pm2PrSn2, the GGA-PBE geometry in Alexandria gives the calculated X-ray powder pattern in this record (Cu Kα, 1.54184 Å).

Largest 10 diffraction maxima, in order of rising 2θ, 5° ≤ 2θ ≤ 70°:
- 2θ = 13.43°, rel. 15.8, hkl 0 0 2
- 2θ = 28.34°, rel. 51.6, hkl 1 0 3
- 2θ = 33.66°, rel. 52.1, hkl 1 0 4
- 2θ = 34.39°, rel. 100.0, hkl 1 1 0
- 2θ = 39.58°, rel. 24.8, hkl 1 0 5
- 2θ = 45.14°, rel. 14.7, hkl 2 0 3
- 2θ = 48.89°, rel. 18.4, hkl 2 0 4
- 2θ = 61.14°, rel. 18.9, hkl 2 1 4
- 2θ = 61.61°, rel. 18.8, hkl 3 0 0
- 2θ = 67.20°, rel. 29.1, hkl 1 1 8

Atomic structure:
a b c (Å): 5.2150 5.2150 13.1842
angles (deg): 90.00 90.00 120.00
Space group P6_3/mmc (No. 194)
Inequivalent atoms, fractional coordinates:
Pm: 0.0000 0.0000 0.0000 x2
Pm: 0.3333 0.6667 0.2500 x2
Pr: 0.0000 0.0000 0.2500 x2
Sn: 0.3333 0.6667 0.6278 x4

***

For PuIn6Ag12, the GGA-PBE geometry in Alexandria gives the calculated X-ray powder pattern in this record (Cu Kα, 1.54184 Å).

Largest 10 diffraction maxima, in order of rising 2θ, 5° ≤ 2θ ≤ 70°:
- 2θ = 23.87°, rel. 42.1, hkl 2 1 1
- 2θ = 28.96°, rel. 25.5, hkl 1 2 2
- 2θ = 31.53°, rel. 100.0, hkl 1 3 1
- 2θ = 31.74°, rel. 69.3, hkl 1 1 3
- 2θ = 37.78°, rel. 59.1, hkl 3 2 1
- 2θ = 37.96°, rel. 63.8, hkl 0 3 3
- 2θ = 41.34°, rel. 69.4, hkl 2 3 2
- 2θ = 41.58°, rel. 60.3, hkl 0 2 4
- 2θ = 45.79°, rel. 20.8, hkl 2 4 1
- 2θ = 46.47°, rel. 59.8, hkl 5 0 2

Atomic structure:
a b c (Å): 12.3791 12.3791 9.5017
angles (deg): 90.00 90.00 120.00
Space group R-3m (No. 166, hexagonal axes)
Inequivalent atoms, fractional coordinates:
Pu: 0.0000 0.0000 0.0000 x3
In: 0.0607 0.5303 0.2387 x18
Ag: 0.0000 0.3891 0.5000 x18
Ag: 0.0805 0.1610 0.2786 x18

***

For Ac5GaGe2, the GGA-PBE geometry in Alexandria gives the calculated X-ray powder pattern in this record (Cu Kα, 1.54184 Å).

Largest 10 diffraction maxima, in order of rising 2θ, 5° ≤ 2θ ≤ 70°:
- 2θ = 24.40°, rel. 27.9, hkl 2 1 1
- 2θ = 27.77°, rel. 18.4, hkl 1 1 4
- 2θ = 29.55°, rel. 100.0, hkl 2 1 3
- 2θ = 31.66°, rel. 46.5, hkl 2 0 4
- 2θ = 33.75°, rel. 44.8, hkl 3 1 0
- 2θ = 48.11°, rel. 24.1, hkl 4 1 3
- 2θ = 48.22°, rel. 16.1, hkl 2 1 7
- 2θ = 49.58°, rel. 17.3, hkl 3 1 6
- 2θ = 52.03°, rel. 21.9, hkl 3 3 4
- 2θ = 62.31°, rel. 23.4, hkl 4 1 7

Atomic structure:
a b c (Å): 8.3986 8.3986 15.2798
angles (deg): 90.00 90.00 90.00
Space group I4/mcm (No. 140)
Inequivalent atoms, fractional coordinates:
Ac: 0.0000 0.0000 0.0000 x4
Ac: 0.1723 0.3277 0.1442 x16
Ga: 0.0000 0.0000 0.2500 x4
Ge: 0.1244 0.3756 0.5000 x8

***

For La2Mg6Cd3, the GGA-PBE geometry in Alexandria gives the calculated X-ray powder pattern in this record (Cu Kα, 1.54184 Å).

Largest 10 diffraction maxima, in order of rising 2θ, 5° ≤ 2θ ≤ 70°:
- 2θ = 12.07°, rel. 34.5, hkl 1 0 0
- 2θ = 20.99°, rel. 26.5, hkl 1 1 0
- 2θ = 28.35°, rel. 100.0, hkl 1 1 1
- 2θ = 30.91°, rel. 36.9, hkl 2 0 1
- 2θ = 32.30°, rel. 21.1, hkl 2 1 0
- 2θ = 36.77°, rel. 26.3, hkl 3 0 0
- 2θ = 37.66°, rel. 33.7, hkl 2 1 1
- 2θ = 38.22°, rel. 20.1, hkl 0 0 2
- 2θ = 44.56°, rel. 19.5, hkl 3 1 0
- 2θ = 54.08°, rel. 16.9, hkl 3 0 2

Atomic structure:
a b c (Å): 8.4661 8.4661 4.7092
angles (deg): 90.00 90.00 120.00
Space group P-62m (No. 189)
Inequivalent atoms, fractional coordinates:
La: 0.3333 0.6667 0.0000 x2
Mg: 0.0000 0.2673 0.5000 x3
Mg: 0.0000 0.7944 0.0000 x3
Cd: 0.0000 0.5986 0.5000 x3

***

For Mn2Tl3Cl9, the GGA-PBE geometry in Alexandria gives the calculated X-ray powder pattern in this record (Cu Kα, 1.54184 Å).

Largest 10 diffraction maxima, in order of rising 2θ, 5° ≤ 2θ ≤ 70°:
- 2θ = 20.68°, rel. 92.9, hkl 1 1 3
- 2θ = 25.79°, rel. 55.2, hkl 3 0 0
- 2θ = 28.95°, rel. 23.3, hkl 0 0 6
- 2θ = 32.66°, rel. 21.1, hkl 1 1 6
- 2θ = 33.29°, rel. 100.0, hkl 2 2 3
- 2θ = 39.15°, rel. 16.6, hkl 3 0 6
- 2θ = 42.08°, rel. 24.9, hkl 2 2 6
- 2θ = 42.58°, rel. 29.2, hkl 4 1 3
- 2θ = 53.03°, rel. 21.7, hkl 6 0 0
- 2θ = 54.12°, rel. 20.4, hkl 2 2 9

Atomic structure:
a b c (Å): 11.9648 11.9648 18.5081
angles (deg): 90.00 90.00 120.00
Space group R-3c (No. 167, hexagonal axes)
Inequivalent atoms, fractional coordinates:
Mn: 0.0000 0.0000 0.1624 x12
Tl: 0.0000 0.3372 0.2500 x18
Cl: 0.0000 0.1573 0.7500 x18
Cl: 0.0001 0.1664 0.0990 x36

***

For Pr2Al2Cd3, the GGA-PBE geometry in Alexandria gives the calculated X-ray powder pattern in this record (Cu Kα, 1.54184 Å).

Largest 10 diffraction maxima, in order of rising 2θ, 5° ≤ 2θ ≤ 70°:
- 2θ = 8.09°, rel. 20.5, hkl 0 2 0
- 2θ = 23.18°, rel. 17.7, hkl 1 3 0
- 2θ = 28.42°, rel. 22.7, hkl 1 5 0
- 2θ = 32.30°, rel. 100.0, hkl 1 1 1
- 2θ = 34.93°, rel. 64.9, hkl 1 7 0
- 2θ = 35.26°, rel. 61.0, hkl 0 6 1
- 2θ = 39.94°, rel. 27.2, hkl 2 0 0
- 2θ = 54.32°, rel. 34.7, hkl 2 6 1
- 2θ = 63.63°, rel. 21.7, hkl 1 7 2
- 2θ = 64.69°, rel. 19.9, hkl 1 13 1

Atomic structure:
a b c (Å): 4.5140 21.8640 3.5578
angles (deg): 90.00 90.00 90.00
Space group Cmmm (No. 65)
Inequivalent atoms, fractional coordinates:
Pr: 0.0000 0.1583 0.0000 x4
Al: 0.0000 0.2812 0.5000 x4
Cd: 0.0000 0.0000 0.0000 x2
Cd: 0.0000 0.4299 0.5000 x4

***

For SiOs2, the GGA-PBE geometry in Alexandria gives the calculated X-ray powder pattern in this record (Cu Kα, 1.54184 Å).

Largest 10 diffraction maxima, in order of rising 2θ, 5° ≤ 2θ ≤ 70°:
- 2θ = 23.71°, rel. 64.4, hkl 0 2 1
- 2θ = 26.87°, rel. 36.2, hkl 0 4 0
- 2θ = 32.82°, rel. 17.9, hkl 1 1 0
- 2θ = 38.15°, rel. 75.3, hkl 1 3 0
- 2θ = 38.46°, rel. 24.1, hkl 1 1 1
- 2θ = 39.62°, rel. 65.9, hkl 0 0 2
- 2θ = 43.20°, rel. 100.0, hkl 1 3 1
- 2θ = 45.61°, rel. 87.7, hkl 0 6 1
- 2θ = 48.53°, rel. 15.1, hkl 0 4 2
- 2θ = 56.17°, rel. 49.6, hkl 1 3 2

Atomic structure:
a b c (Å): 2.7888 13.2703 4.5494
angles (deg): 90.00 90.00 90.00
Space group Cmcm (No. 63)
Inequivalent atoms, fractional coordinates:
Si: 0.0000 0.1253 0.2500 x4
Os: 0.0000 0.2102 0.7500 x4
Os: 0.0000 0.4620 0.2500 x4

***

For Tb6SmDy2, the GGA-PBE geometry in Alexandria gives the calculated X-ray powder pattern in this record (Cu Kα, 1.54184 Å).

Largest 10 diffraction maxima, in order of rising 2θ, 5° ≤ 2θ ≤ 70°:
- 2θ = 27.27°, rel. 33.8, hkl 1 1 -1
- 2θ = 30.12°, rel. 8.8, hkl 1 1 2
- 2θ = 31.02°, rel. 100.0, hkl 2 0 4
- 2θ = 35.18°, rel. 69.9, hkl 3 1 0
- 2θ = 41.78°, rel. 21.6, hkl 3 1 3
- 2θ = 52.91°, rel. 23.4, hkl 0 2 0
- 2θ = 55.19°, rel. 16.7, hkl 6 0 3
- 2θ = 57.93°, rel. 16.7, hkl 5 1 4
- 2θ = 62.62°, rel. 45.4, hkl 2 2 4
- 2θ = 64.68°, rel. 9.5, hkl 4 0 8

Atomic structure:
a b c (Å): 11.5353 3.4607 15.2495
angles (deg): 90.00 100.93 90.00
Space group C2/m (No. 12)
Inequivalent atoms, fractional coordinates:
Tb: 0.0395 0.0000 0.2316 x4
Tb: 0.1264 0.5000 0.4371 x4
Tb: 0.2068 0.5000 0.8956 x4
Sm: 0.0000 0.0000 0.0000 x2
Dy: 0.1675 0.5000 0.6663 x4

***

For Cs6Au2I, the GGA-PBE geometry in Alexandria gives the calculated X-ray powder pattern in this record (Cu Kα, 1.54184 Å).

Largest 10 diffraction maxima, in order of rising 2θ, 5° ≤ 2θ ≤ 70°:
- 2θ = 11.56°, rel. 34.2, hkl 1 0 1
- 2θ = 12.93°, rel. 27.8, hkl 0 1 2
- 2θ = 21.72°, rel. 98.7, hkl 2 -1 3
- 2θ = 27.93°, rel. 100.0, hkl 1 1 6
- 2θ = 33.65°, rel. 56.1, hkl 3 0 0
- 2θ = 36.12°, rel. 27.1, hkl 1 1 9
- 2θ = 40.40°, rel. 20.4, hkl 2 2 3
- 2θ = 44.28°, rel. 26.4, hkl 4 -2 6
- 2θ = 53.85°, rel. 31.3, hkl 3 0 12
- 2θ = 56.74°, rel. 23.3, hkl 1 4 6

Atomic structure:
a b c (Å): 9.2268 9.2268 26.5674
angles (deg): 90.00 90.00 120.00
Space group R3 (No. 146, hexagonal axes)
Inequivalent atoms, fractional coordinates:
Cs: 0.0020 0.6936 0.0000 x9
Cs: 0.0119 0.3339 0.8334 x9
Au: 0.0000 0.0000 0.0874 x3
Au: 0.0000 0.0000 0.9115 x3
I: 0.0000 0.0000 0.4177 x3